Structure and theoretical X-ray powder pattern of MnFe22C6 (a crystal structure in Alexandria, relaxed with PBE; Cu Kα (λ = 1.5418 Å)).
No peak broadening, texture or thermal motion is included.

The 10 most intense peaks (15° ≤ 2θ ≤ 90°), low angle first:
2theta, d/Å, I_rel
38.4, 2.343, 25
42.3, 2.138, 27
45.0, 2.016, 100
49.2, 1.852, 21
51.6, 1.771, 28
52.4, 1.746, 12
58.4, 1.579, 8
77.3, 1.235, 21
79.2, 1.210, 12
84.2, 1.150, 7

Crystal structure
a = 7.4077 Å, b = 7.4077 Å, c = 7.4077 Å
α = 60.00°, β = 60.00°, γ = 60.00°
Sites, in units of the cell vectors:
Mn1 0.0000 0.0000 0.0000
Fe1 0.0000 0.0000 0.3405
Fe2 0.0000 0.0000 0.6595
Fe3 0.0000 0.3405 0.0000
Fe4 0.0000 0.3405 0.6595
Fe5 0.0000 0.6595 0.0000
Fe6 0.0000 0.6595 0.3405
Fe7 0.1510 0.6163 0.6163
Fe8 0.2500 0.2500 0.2500
Fe9 0.3405 0.0000 0.0000
Fe10 0.3405 0.0000 0.6595
Fe11 0.3405 0.6595 0.0000
Fe12 0.3837 0.3837 0.3837
Fe13 0.3837 0.3837 0.8490
Fe14 0.3837 0.8490 0.3837
Fe15 0.6163 0.1510 0.6163
Fe16 0.6163 0.6163 0.1510
Fe17 0.6163 0.6163 0.6163
Fe18 0.6595 0.0000 0.0000
Fe19 0.6595 0.0000 0.3405
Fe20 0.6595 0.3405 0.0000
Fe21 0.7500 0.7500 0.7500
Fe22 0.8490 0.3837 0.3837
C1 0.2760 0.2760 0.7240
C2 0.2760 0.7240 0.2760
C3 0.2760 0.7240 0.7240
C4 0.7240 0.2760 0.2760
C5 0.7240 0.2760 0.7240
C6 0.7240 0.7240 0.2760